[1]
Starting from a cell relaxed with GGA-PBE, the X-ray diffraction stick pattern of Cs9AlO4 was simulated for Cu Kα (λ = 1.5418 Å).

Principal peaks in the range 2θ = 10–80°, low angle first:
- 11.63 deg, d = 7.610 Å, intensity 18
- 18.43 deg, d = 4.813 Å, intensity 20
- 21.67 deg, d = 4.101 Å, intensity 100
- 23.21 deg, d = 3.832 Å, intensity 18
- 25.13 deg, d = 3.544 Å, intensity 23
- 27.34 deg, d = 3.262 Å, intensity 44
- 28.17 deg, d = 3.168 Å, intensity 33
- 33.18 deg, d = 2.700 Å, intensity 25
- 33.30 deg, d = 2.690 Å, intensity 18
- 53.09 deg, d = 1.725 Å, intensity 28

Atomic structure:
Cell: 12.488 12.488 12.488 Å, 104.92 104.92 119.03°
Positions (direct):
Cs1 0.000 0.000 0.000
Cs2 0.019 0.750 0.269
Cs3 0.083 0.583 0.666
Cs4 0.167 0.333 0.500
Cs5 0.250 0.519 0.269
Cs6 0.250 0.981 0.731
Cs7 0.333 0.833 0.165
Cs8 0.417 0.083 0.500
Cs9 0.481 0.750 0.731
Cs10 0.500 0.500 0.000
Cs11 0.519 0.250 0.269
Cs12 0.583 0.917 0.500
Cs13 0.667 0.167 0.835
Cs14 0.750 0.019 0.269
Cs15 0.750 0.481 0.731
Cs16 0.833 0.667 0.500
Cs17 0.917 0.417 0.334
Cs18 0.981 0.250 0.731
Al1 0.250 0.750 0.500
Al2 0.750 0.250 0.500
O1 0.097 0.734 0.500
O2 0.234 0.597 0.500
O3 0.266 0.766 0.363
O4 0.403 0.903 0.637
O5 0.597 0.097 0.363
O6 0.734 0.234 0.637
O7 0.766 0.403 0.500
O8 0.903 0.266 0.500

---

[2]
Starting from a cell relaxed with GGA-PBE, the X-ray diffraction stick pattern of Cs2Al2Si3O10 was simulated for Cu Kα (λ = 1.5418 Å).

Principal peaks in the range 2θ = 10–80°, low angle first:
- 20.73 deg, d = 4.285 Å, intensity 66
- 21.27 deg, d = 4.177 Å, intensity 63
- 23.98 deg, d = 3.711 Å, intensity 53
- 27.06 deg, d = 3.295 Å, intensity 100
- 27.91 deg, d = 3.197 Å, intensity 99
- 28.21 deg, d = 3.163 Å, intensity 65
- 28.35 deg, d = 3.148 Å, intensity 66
- 30.37 deg, d = 2.943 Å, intensity 85
- 30.88 deg, d = 2.896 Å, intensity 59
- 38.04 deg, d = 2.366 Å, intensity 45

Atomic structure:
Cell: 10.230 9.849 13.388 Å, 49.41 46.98 83.61°
Positions (direct):
Cs1 0.258 0.742 0.346
Cs2 0.596 0.904 0.508
Cs3 0.742 0.258 0.654
Cs4 0.904 0.596 0.992
Al1 0.142 0.878 0.036
Al2 0.214 0.305 0.108
Al3 0.305 0.214 0.372
Al4 0.878 0.142 0.945
Si1 0.195 0.303 0.887
Si2 0.303 0.195 0.615
Si3 0.363 0.635 0.055
Si4 0.624 0.624 0.376
Si5 0.635 0.363 0.947
Si6 0.874 0.874 0.626
O1 0.040 0.977 0.586
O2 0.082 0.188 0.732
O3 0.169 0.369 0.982
O4 0.188 0.082 0.998
O5 0.252 0.518 0.062
O6 0.268 0.769 0.081
O7 0.270 0.998 0.795
O8 0.314 0.455 0.252
O9 0.369 0.169 0.481
O10 0.445 0.518 0.613
O11 0.455 0.314 0.980
O12 0.518 0.252 0.168
O13 0.518 0.445 0.423
O14 0.637 0.827 0.805
O15 0.664 0.853 0.210
O16 0.769 0.268 0.881
O17 0.827 0.637 0.732
O18 0.853 0.664 0.273
O19 0.977 0.040 0.397
O20 0.998 0.270 0.936

---

[3]
Starting from a cell relaxed with GGA-PBE, the X-ray diffraction stick pattern of Cs3AlTe3 was simulated for Cu Kα (λ = 1.5418 Å).

Principal peaks in the range 2θ = 10–80°, low angle first:
- 23.31 deg, d = 3.817 Å, intensity 57
- 24.08 deg, d = 3.695 Å, intensity 69
- 24.63 deg, d = 3.615 Å, intensity 100
- 25.51 deg, d = 3.492 Å, intensity 48
- 26.10 deg, d = 3.414 Å, intensity 85
- 26.27 deg, d = 3.393 Å, intensity 34
- 29.79 deg, d = 2.999 Å, intensity 27
- 30.06 deg, d = 2.973 Å, intensity 71
- 30.17 deg, d = 2.962 Å, intensity 29
- 48.86 deg, d = 1.864 Å, intensity 22

Atomic structure:
Cell: 9.274 14.761 12.121 Å, 90.00 126.48 90.00°
Positions (direct):
Cs1 0.123 0.125 0.486
Cs2 0.123 0.375 0.986
Cs3 0.147 0.082 0.888
Cs4 0.147 0.418 0.388
Cs5 0.373 0.689 0.587
Cs6 0.373 0.811 0.087
Cs7 0.627 0.189 0.913
Cs8 0.627 0.311 0.413
Cs9 0.853 0.582 0.612
Cs10 0.853 0.918 0.112
Cs11 0.877 0.625 0.014
Cs12 0.877 0.875 0.514
Al1 0.433 0.059 0.341
Al2 0.433 0.441 0.841
Al3 0.567 0.559 0.159
Al4 0.567 0.941 0.659
Te1 0.149 0.166 0.194
Te2 0.149 0.334 0.694
Te3 0.358 0.607 0.888
Te4 0.358 0.893 0.388
Te5 0.387 0.558 0.263
Te6 0.387 0.942 0.763
Te7 0.613 0.058 0.237
Te8 0.613 0.442 0.737
Te9 0.642 0.107 0.612
Te10 0.642 0.393 0.112
Te11 0.851 0.666 0.306
Te12 0.851 0.834 0.806

---

[4]
Starting from a cell relaxed with GGA-PBE, the X-ray diffraction stick pattern of Cs2Al7Tl was simulated for Cu Kα (λ = 1.5418 Å).

Principal peaks in the range 2θ = 10–80°, low angle first:
- 15.10 deg, d = 5.868 Å, intensity 30
- 24.01 deg, d = 3.707 Å, intensity 27
- 26.36 deg, d = 3.382 Å, intensity 58
- 29.50 deg, d = 3.028 Å, intensity 100
- 30.51 deg, d = 2.930 Å, intensity 78
- 37.62 deg, d = 2.391 Å, intensity 52
- 42.93 deg, d = 2.107 Å, intensity 46
- 48.51 deg, d = 1.877 Å, intensity 50
- 54.22 deg, d = 1.692 Å, intensity 28
- 58.37 deg, d = 1.581 Å, intensity 36

Atomic structure:
Cell: 4.782 4.782 11.735 Å, 90.00 90.00 90.00°
Positions (direct):
Cs1 0.000 0.000 0.000
Cs2 0.500 0.500 0.490
Al1 0.000 0.000 0.361
Al2 0.000 0.500 0.241
Al3 0.000 0.500 0.759
Al4 0.500 0.000 0.241
Al5 0.500 0.000 0.759
Al6 0.500 0.500 0.118
Al7 0.500 0.500 0.881
Tl1 0.000 0.000 0.614